Structure and simulated XRD peak list of K2Ag2S3 (a PBE-relaxed structure; λ = 1.5418 Å (Cu Kα)).
Neutral-atom scattering factors, no anomalous dispersion.

Largest 10 diffraction maxima, in order of rising 2θ, 5° ≤ 2θ ≤ 70°:
2θ 12.45, I 99
2θ 17.64, I 42
2θ 21.65, I 65
2θ 25.05, I 95
2θ 28.06, I 21
2θ 33.34, I 100
2θ 35.72, I 21
2θ 44.12, I 22
2θ 46.02, I 59
2θ 49.66, I 45

```
K2Ag2S3
1.0
-5.028 5.028 5.028
5.028 -5.028 5.028
5.028 5.028 -5.028
K Ag S
4 4 6
direct
0.000 0.021 0.500
0.021 0.500 0.000
0.479 0.479 0.479
0.500 0.000 0.021
0.000 0.400 0.500
0.100 0.100 0.100
0.400 0.500 0.000
0.500 0.000 0.400
0.181 0.931 0.250
0.250 0.181 0.931
0.319 0.569 0.750
0.569 0.750 0.319
0.750 0.319 0.569
0.931 0.250 0.181
```

---

Structure and simulated XRD peak list of KAg5S3 (a PBE-relaxed structure; λ = 1.5418 Å (Cu Kα)).
Neutral-atom scattering factors, no anomalous dispersion.

Largest 10 diffraction maxima, in order of rising 2θ, 5° ≤ 2θ ≤ 70°:
2θ 13.11, I 74
2θ 26.39, I 30
2θ 32.02, I 28
2θ 34.73, I 100
2θ 35.15, I 12
2θ 45.25, I 17
2θ 46.25, I 25
2θ 46.58, I 21
2θ 59.39, I 14
2θ 66.96, I 13

```
KAg5S3
1.0
13.509 0.000 0.000
-6.755 11.700 0.000
0.000 0.000 8.016
K Ag S
6 30 18
direct
0.000 0.000 0.000
0.000 0.000 0.500
0.333 0.667 0.000
0.333 0.667 0.500
0.667 0.333 0.000
0.667 0.333 0.500
0.000 0.478 0.000
0.000 0.478 0.500
0.000 0.646 0.250
0.000 0.646 0.750
0.003 0.312 0.250
0.156 0.822 0.000
0.156 0.822 0.500
0.178 0.333 0.000
0.178 0.333 0.500
0.309 0.997 0.250
0.312 0.003 0.750
0.333 0.178 0.000
0.333 0.178 0.500
0.354 0.354 0.250
0.354 0.354 0.750
0.478 0.000 0.000
0.478 0.000 0.500
0.522 0.522 0.000
0.522 0.522 0.500
0.646 0.000 0.250
0.646 0.000 0.750
0.667 0.844 0.000
0.667 0.844 0.500
0.688 0.691 0.250
0.691 0.688 0.750
0.822 0.156 0.000
0.822 0.156 0.500
0.844 0.667 0.000
0.844 0.667 0.500
0.997 0.309 0.750
0.093 0.875 0.750
0.115 0.542 0.750
0.125 0.218 0.750
0.218 0.125 0.250
0.223 0.447 0.250
0.224 0.777 0.250
0.427 0.885 0.750
0.447 0.223 0.750
0.458 0.573 0.750
0.542 0.115 0.250
0.553 0.776 0.250
0.573 0.458 0.250
0.776 0.553 0.750
0.777 0.224 0.750
0.782 0.907 0.750
0.875 0.093 0.250
0.885 0.427 0.250
0.907 0.782 0.250
```

---

Structure and simulated XRD peak list of KAg12S6 (a PBE-relaxed structure; λ = 1.5418 Å (Cu Kα)).
Neutral-atom scattering factors, no anomalous dispersion.

Largest 10 diffraction maxima, in order of rising 2θ, 5° ≤ 2θ ≤ 70°:
2θ 11.95, I 46
2θ 18.01, I 17
2θ 28.32, I 52
2θ 34.12, I 26
2θ 36.38, I 100
2θ 36.82, I 42
2θ 42.56, I 16
2θ 46.28, I 21
2θ 47.79, I 19
2θ 48.60, I 25

```
KAg12S6
1.0
5.621 3.245 3.807
-5.621 3.245 3.807
0.000 -6.490 3.807
K Ag S
1 12 6
direct
0.000 0.000 0.000
0.147 0.415 0.415
0.183 0.500 0.817
0.183 0.817 0.500
0.415 0.147 0.415
0.415 0.415 0.147
0.500 0.183 0.817
0.500 0.817 0.183
0.585 0.585 0.853
0.585 0.853 0.585
0.817 0.183 0.500
0.817 0.500 0.183
0.853 0.585 0.585
0.182 0.182 0.617
0.182 0.617 0.182
0.383 0.818 0.818
0.617 0.182 0.182
0.818 0.383 0.818
0.818 0.818 0.383
```

---

Structure and simulated XRD peak list of KAg5S4 (a PBE-relaxed structure; λ = 1.5418 Å (Cu Kα)).
Neutral-atom scattering factors, no anomalous dispersion.

Largest 10 diffraction maxima, in order of rising 2θ, 5° ≤ 2θ ≤ 70°:
2θ 21.34, I 29
2θ 22.95, I 35
2θ 27.29, I 100
2θ 28.01, I 23
2θ 30.67, I 75
2θ 40.49, I 36
2θ 43.46, I 26
2θ 45.59, I 34
2θ 49.00, I 23
2θ 54.13, I 28

```
KAg5S4
1.0
8.329 0.000 0.000
0.000 9.893 0.000
0.000 0.000 6.232
K Ag S
2 10 8
direct
0.250 0.250 0.207
0.750 0.750 0.793
0.001 0.581 0.183
0.001 0.919 0.183
0.250 0.750 0.698
0.499 0.581 0.183
0.499 0.919 0.183
0.501 0.081 0.817
0.501 0.419 0.817
0.750 0.250 0.302
0.999 0.081 0.817
0.999 0.419 0.817
0.013 0.750 0.457
0.250 0.538 0.949
0.250 0.962 0.949
0.487 0.750 0.457
0.513 0.250 0.543
0.750 0.038 0.051
0.750 0.462 0.051
0.987 0.250 0.543
```

---

Structure and simulated XRD peak list of K2Ag3Sb3S7 (a PBE-relaxed structure; λ = 1.5418 Å (Cu Kα)).
Neutral-atom scattering factors, no anomalous dispersion.

Largest 10 diffraction maxima, in order of rising 2θ, 5° ≤ 2θ ≤ 70°:
2θ 6.99, I 100
2θ 23.89, I 32
2θ 24.26, I 21
2θ 25.70, I 20
2θ 27.20, I 40
2θ 29.37, I 42
2θ 29.52, I 18
2θ 33.47, I 22
2θ 34.18, I 22
2θ 49.33, I 19

```
K2Ag3Sb3S7
1.0
12.648 -4.602 0.000
12.648 4.602 0.000
0.000 0.000 6.933
K Ag Sb S
4 6 6 14
direct
0.011 0.399 0.000
0.399 0.011 0.500
0.601 0.989 0.000
0.989 0.601 0.500
0.078 0.104 0.435
0.104 0.078 0.935
0.174 0.826 0.166
0.826 0.174 0.666
0.896 0.922 0.435
0.922 0.896 0.935
0.264 0.480 0.009
0.338 0.662 0.621
0.480 0.264 0.509
0.520 0.736 0.009
0.662 0.338 0.121
0.736 0.520 0.509
0.015 0.326 0.510
0.116 0.884 0.820
0.187 0.665 0.412
0.303 0.320 0.747
0.320 0.303 0.247
0.326 0.015 0.010
0.335 0.813 0.412
0.665 0.187 0.912
0.674 0.985 0.510
0.680 0.697 0.747
0.697 0.680 0.247
0.813 0.335 0.912
0.884 0.116 0.320
0.985 0.674 0.010
```

---

Structure and simulated XRD peak list of K2AgSn3S8 (a PBE-relaxed structure; λ = 1.5418 Å (Cu Kα)).
Neutral-atom scattering factors, no anomalous dispersion.

Largest 10 diffraction maxima, in order of rising 2θ, 5° ≤ 2θ ≤ 70°:
2θ 11.04, I 100
2θ 22.18, I 11
2θ 27.59, I 24
2θ 28.34, I 8
2θ 31.19, I 50
2θ 38.03, I 28
2θ 40.81, I 19
2θ 48.32, I 19
2θ 49.72, I 14
2θ 50.23, I 11

```
K2AgSn3S8
1.0
3.767 2.175 8.017
-3.767 2.175 8.017
0.000 -4.350 8.017
K Ag Sn S
2 1 3 8
direct
0.000 0.000 0.000
0.352 0.352 0.352
0.848 0.848 0.848
0.355 0.355 0.847
0.355 0.847 0.355
0.847 0.355 0.355
0.084 0.084 0.567
0.084 0.567 0.084
0.126 0.126 0.126
0.137 0.619 0.619
0.567 0.084 0.084
0.583 0.583 0.583
0.619 0.137 0.619
0.619 0.619 0.137
```

---

Structure and simulated XRD peak list of K2ThAgS4 (a PBE-relaxed structure; λ = 1.5418 Å (Cu Kα)).
Neutral-atom scattering factors, no anomalous dispersion.

Largest 10 diffraction maxima, in order of rising 2θ, 5° ≤ 2θ ≤ 70°:
2θ 12.51, I 100
2θ 12.97, I 17
2θ 25.15, I 60
2θ 26.12, I 37
2θ 27.40, I 58
2θ 30.80, I 87
2θ 41.71, I 34
2θ 42.88, I 17
2θ 44.11, I 29
2θ 53.73, I 17

```
K2ThAgS4
1.0
5.822 -5.802 0.000
5.822 5.802 0.000
-5.451 0.000 6.510
K Th Ag S
4 2 2 8
direct
0.000 0.000 0.000
0.000 0.000 0.500
0.000 0.500 0.000
0.500 0.000 0.500
0.500 0.500 0.000
0.500 0.500 0.500
0.000 0.500 0.500
0.500 0.000 0.000
0.224 0.693 0.476
0.272 0.308 0.560
0.307 0.776 0.024
0.308 0.272 0.060
0.692 0.728 0.940
0.693 0.224 0.976
0.728 0.692 0.440
0.776 0.307 0.524
```

---

Structure and simulated XRD peak list of KU2AgS5 (a PBE-relaxed structure; λ = 1.5418 Å (Cu Kα)).
Neutral-atom scattering factors, no anomalous dispersion.

Largest 10 diffraction maxima, in order of rising 2θ, 5° ≤ 2θ ≤ 70°:
2θ 12.01, I 90
2θ 16.59, I 34
2θ 24.15, I 40
2θ 26.50, I 52
2θ 27.06, I 66
2θ 32.14, I 100
2θ 39.64, I 43
2θ 40.60, I 61
2θ 51.10, I 17
2θ 53.34, I 17

```
KU2AgS5
1.0
-3.779 3.779 7.371
3.779 -3.779 7.371
3.779 3.779 -7.371
K U Ag S
2 4 2 10
direct
0.250 0.250 0.000
0.750 0.750 0.000
0.161 0.661 0.822
0.339 0.161 0.500
0.661 0.839 0.500
0.839 0.339 0.178
0.250 0.750 0.500
0.750 0.250 0.500
0.000 0.000 0.000
0.032 0.237 0.500
0.237 0.737 0.205
0.263 0.468 0.500
0.468 0.968 0.205
0.500 0.500 0.000
0.532 0.032 0.795
0.737 0.532 0.500
0.763 0.263 0.795
0.968 0.763 0.500
```